Simulated X-ray diffraction stick pattern
Compound: Ce2GaPd5
Radiation: Cu Kα (weighted mean of Kα1 and Kα2)
Structure: a GGA-PBE-relaxed structure

Structure:
Cell: 5.966 5.966 5.966 Å, 117.94 117.94 93.61°
Fractional positions:
Ce 0.000 0.500 0.500
Ce 0.500 0.000 0.500
Ga 0.348 0.348 0.000
Pd 0.009 0.009 0.000
Pd 0.516 0.516 0.550
Pd 0.516 0.966 0.000
Pd 0.966 0.516 0.000
Pd 0.966 0.966 0.450

Top 6 peaks for 10 to 90 degrees two-theta, by angle:
2theta	I (rel.)
36.58	100
41.52	42
44.37	13
62.39	17
72.52	21
76.54	13